This entry pairs a crystal structure of Na2Zn21Pt6 with its theoretical powder XRD pattern. Radiation: λ = 1.5418 Å (Cu Kα). Structure: a GGA-PBE-relaxed structure.

Main lines, sorted by position (2θ = 15–90°):
hkl, 2theta, I_rel
2 2 0, 19.42, 53
2 2 2, 23.85, 82
4 0 0, 27.61, 29
3 3 3, 36.11, 81
4 4 0, 39.44, 100
5 3 1, 41.33, 32
6 0 0, 41.94, 51
6 2 2, 46.61, 89
6 4 0, 50.95, 23
6 6 2, 62.66, 22
8 4 4, 71.52, 42
10 6 2, 89.78, 22

Structure:
abc: 12.9251 12.9251 12.9251
angles: 90.00 90.00 90.00
Space group Fm-3m (No. 225)
Inequivalent atoms, fractional coordinates:
Na (0.2500, 0.2500, 0.2500) x8
Zn (0.0000, 0.0000, 0.0000) x4
Zn (0.0000, 0.1679, 0.1679) x48
Zn (0.1106, 0.1106, 0.3894) x32
Pt (0.0000, 0.0000, 0.2656) x24

This entry pairs a crystal structure of CsRbBO2 with its theoretical powder XRD pattern. Radiation: λ = 1.5418 Å (Cu Kα). Structure: a GGA-PBE-relaxed structure.

Main lines, sorted by position (2θ = 15–90°):
hkl, 2theta, I_rel
0 1 1, 18.57, 93
1 1 0, 18.98, 83
1 1 -1, 19.13, 98
0 0 2, 22.95, 58
2 0 0, 24.27, 100
2 0 -2, 24.73, 48
1 1 1, 24.92, 31
1 1 -2, 25.26, 80
1 2 0, 31.94, 55
1 1 2, 34.05, 33
1 2 -2, 36.14, 40
0 3 0, 44.76, 31

Structure:
abc: 8.2279 6.0700 8.6929
angles: 90.00 116.95 90.00
Space group P2/c (No. 13)
Inequivalent atoms, fractional coordinates:
Cs (0.0000, 0.1811, 0.2500) x2
Rb (0.5000, 0.4927, 0.7500) x2
B (0.5000, 0.0000, 0.0000) x2
O (0.4228, 0.1874, 0.4614) x4

This entry pairs a crystal structure of TbDy3Tm8 with its theoretical powder XRD pattern. Radiation: λ = 1.5418 Å (Cu Kα). Structure: a GGA-PBE-relaxed structure.

Main lines, sorted by position (2θ = 15–90°):
hkl, 2theta, I_rel
0 2 0, 16.06, 25
0 2 2, 22.62, 19
0 0 4, 31.95, 51
1 3 2, 32.29, 100
2 0 2, 32.46, 69
0 4 2, 36.18, 18
2 2 2, 36.36, 38
2 2 4, 46.25, 19
3 3 2, 52.47, 22
2 0 6, 57.19, 26
2 6 0, 57.78, 19
2 6 4, 67.57, 25

Structure:
abc: 6.3449 11.0770 11.2031
angles: 90.00 90.00 90.00
Space group Immm (No. 71)
Inequivalent atoms, fractional coordinates:
Tb (0.0000, 0.0000, 0.0000) x2
Dy (0.0000, 0.0000, 0.5000) x2
Dy (0.0000, 0.5000, 0.2495) x4
Tm (0.0000, 0.1684, 0.2501) x8
Tm (0.2503, 0.2493, 0.5000) x8

This entry pairs a crystal structure of CrSi2Ni7Ge2 with its theoretical powder XRD pattern. Radiation: λ = 1.5418 Å (Cu Kα). Structure: a GGA-PBE-relaxed structure.

Main lines, sorted by position (2θ = 15–90°):
hkl, 2theta, I_rel
0 0 8, 27.47, 22
1 1 0, 36.77, 17
1 1 2, 37.44, 67
1 1 4, 39.39, 33
1 0 9, 40.73, 31
1 1 6, 42.47, 100
1 0 11, 46.54, 68
0 0 14, 49.10, 17
1 1 10, 51.32, 38
2 0 0, 52.97, 91
2 1 11, 73.17, 18
2 2 0, 78.20, 31

Structure:
abc: 3.4568 3.4568 25.9763
angles: 90.00 90.00 90.00
Space group I4/mmm (No. 139)
Inequivalent atoms, fractional coordinates:
Cr (0.0000, 0.0000, 0.0000) x2
Si (0.0000, 0.0000, 0.3699) x4
Ni (0.0000, 0.0000, 0.2808) x4
Ni (0.0000, 0.0000, 0.5000) x2
Ni (0.0000, 0.5000, 0.0704) x8
Ge (0.0000, 0.0000, 0.1887) x4

This entry pairs a crystal structure of TbNiHg2 with its theoretical powder XRD pattern. Radiation: λ = 1.5418 Å (Cu Kα). Structure: a GGA-PBE-relaxed structure.

Main lines, sorted by position (2θ = 15–90°):
hkl, 2theta, I_rel
1 1 2, 32.49, 100
1 3 0, 35.08, 47
0 4 0, 35.76, 17
1 3 1, 36.77, 41
0 2 3, 37.13, 50
1 1 3, 40.80, 28
1 3 2, 41.48, 29
0 4 2, 42.07, 22
2 0 0, 45.77, 30
2 2 3, 60.34, 25
1 5 3, 61.69, 21
1 7 0, 69.70, 16

Structure:
abc: 3.9645 10.0428 8.2926
angles: 90.00 90.00 90.00
Space group Cmcm (No. 63)
Inequivalent atoms, fractional coordinates:
Tb (0.0000, 0.0674, 0.2500) x4
Ni (0.0000, 0.2297, 0.7500) x4
Hg (0.0000, 0.3586, 0.0510) x8

Repeat the fourth record exactly.
This entry pairs a crystal structure of CrSi2Ni7Ge2 with its theoretical powder XRD pattern. Radiation: λ = 1.5418 Å (Cu Kα). Structure: a GGA-PBE-relaxed structure.

Main lines, sorted by position (2θ = 15–90°):
hkl, 2theta, I_rel
0 0 8, 27.47, 22
1 1 0, 36.77, 17
1 1 2, 37.44, 67
1 1 4, 39.39, 33
1 0 9, 40.73, 31
1 1 6, 42.47, 100
1 0 11, 46.54, 68
0 0 14, 49.10, 17
1 1 10, 51.32, 38
2 0 0, 52.97, 91
2 1 11, 73.17, 18
2 2 0, 78.20, 31

Structure:
abc: 3.4568 3.4568 25.9763
angles: 90.00 90.00 90.00
Space group I4/mmm (No. 139)
Inequivalent atoms, fractional coordinates:
Cr (0.0000, 0.0000, 0.0000) x2
Si (0.0000, 0.0000, 0.3699) x4
Ni (0.0000, 0.0000, 0.2808) x4
Ni (0.0000, 0.0000, 0.5000) x2
Ni (0.0000, 0.5000, 0.0704) x8
Ge (0.0000, 0.0000, 0.1887) x4